(1)
Starting from a structure optimized by DFT (GGA-PBE), the powder XRD pattern of Th5PC4 was calculated for a wavelength of 1.5418 Å.
Neutral-atom scattering factors, no anomalous dispersion.

Crystal structure
a b c (Å): 6.692 6.692 9.580
angles (deg): 118.13 118.13 33.48
Positions (direct):
Th 0.000 0.000 0.000
Th 0.206 0.206 0.815
Th 0.392 0.392 0.617
Th 0.608 0.608 0.383
Th 0.794 0.794 0.185
P 0.000 0.000 0.500
C 0.193 0.193 0.290
C 0.398 0.398 0.098
C 0.602 0.602 0.902
C 0.807 0.807 0.710

The 12 most intense peaks (10 to 90 degrees two-theta), by angle:
2θ (°), I/Imax
27.9, 32
28.3, 100
32.5, 30
32.7, 59
46.6, 21
46.8, 9
47.1, 33
55.4, 19
55.7, 25
55.9, 11
58.5, 12
78.4, 9

=====

(2)
Starting from a structure optimized by DFT (GGA-PBE), the powder XRD pattern of Ti8PC2 was calculated for a wavelength of 1.5418 Å.
Neutral-atom scattering factors, no anomalous dispersion.

Crystal structure
a b c (Å): 6.210 6.210 4.310
angles (deg): 96.25 96.25 112.44
Positions (direct):
Ti 0.107 0.107 0.803
Ti 0.167 0.425 0.422
Ti 0.250 0.750 0.000
Ti 0.425 0.167 0.422
Ti 0.575 0.833 0.578
Ti 0.750 0.250 0.000
Ti 0.833 0.575 0.578
Ti 0.893 0.893 0.197
P 0.500 0.500 0.000
C 0.190 0.810 0.500
C 0.810 0.190 0.500

The 12 most intense peaks (10 to 90 degrees two-theta), by angle:
2θ (°), I/Imax
30.4, 15
34.6, 33
35.1, 27
37.1, 97
41.0, 100
42.5, 58
43.2, 48
44.1, 71
46.4, 16
48.2, 22
67.3, 22
85.2, 17

=====

(3)
Starting from a structure optimized by DFT (GGA-PBE), the powder XRD pattern of Tm4PC2 was calculated for a wavelength of 1.5418 Å.
Neutral-atom scattering factors, no anomalous dispersion.

Crystal structure
a b c (Å): 6.206 6.206 12.086
angles (deg): 90.00 90.00 145.54
Positions (direct):
Tm 0.000 0.000 0.000
Tm 0.000 0.000 0.500
Tm 0.266 0.734 0.609
Tm 0.266 0.734 0.891
Tm 0.440 0.560 0.250
Tm 0.560 0.440 0.750
Tm 0.734 0.266 0.109
Tm 0.734 0.266 0.391
P 0.111 0.889 0.250
P 0.889 0.111 0.750
C 0.365 0.635 0.061
C 0.365 0.635 0.439
C 0.635 0.365 0.561
C 0.635 0.365 0.939

The 12 most intense peaks (10 to 90 degrees two-theta), by angle:
2θ (°), I/Imax
29.4, 55
30.2, 31
31.1, 17
33.3, 100
33.9, 63
34.1, 70
36.5, 32
49.6, 21
51.1, 27
60.2, 17
61.0, 32
64.1, 19

=====

(4)
Starting from a structure optimized by DFT (GGA-PBE), the powder XRD pattern of U3P3C was calculated for a wavelength of 1.5418 Å.
Neutral-atom scattering factors, no anomalous dispersion.

Crystal structure
a b c (Å): 6.667 6.667 6.866
angles (deg): 94.45 94.45 112.07
Positions (direct):
U 0.128 0.128 0.304
U 0.129 0.462 0.778
U 0.462 0.129 0.778
U 0.538 0.871 0.222
U 0.871 0.538 0.222
U 0.872 0.872 0.696
P 0.160 0.840 0.000
P 0.245 0.755 0.500
P 0.416 0.416 0.113
P 0.584 0.584 0.887
P 0.755 0.245 0.500
P 0.840 0.160 0.000
C 0.166 0.166 0.642
C 0.834 0.834 0.358

The 12 most intense peaks (10 to 90 degrees two-theta), by angle:
2θ (°), I/Imax
24.1, 20
25.8, 25
26.2, 48
27.0, 16
29.1, 35
29.4, 64
30.9, 100
37.1, 24
38.0, 23
44.3, 28
49.4, 20
55.0, 16